Simulated X-ray powder pattern of La2Fe3O8 for Cu Kα, from DFT lattice parameters and positions (GGA+U).
Peak positions follow from Bragg's law for the DFT cell and can differ from measured ones.

Main lines, in order of rising 2θ (2θ from 5° to 70°):
2θ (°), d_spacing, I_rel, h k l
7.16, 12.348, 100, 0 0 1
14.35, 6.174, 34, 0 0 2
31.69, 2.824, 83, 1 0 3
32.63, 2.744, 33, 1 1 0
46.81, 1.941, 26, 2 0 0
55.84, 1.647, 14, 1 1 6
57.64, 1.599, 29, 2 1 3
66.19, 1.412, 15, 2 0 6

Atomic structure:
```
data_La2Fe3O8
_symmetry_space_group_name_H-M 'P 4/m m m'
_symmetry_Int_Tables_number 123
_symmetry_space_group_name_Hall '-P 4 2'
_cell_length_a 3.881
_cell_length_b 3.881
_cell_length_c 12.348
_cell_angle_alpha 90.00
_cell_angle_beta 90.00
_cell_angle_gamma 90.00
loop_
_atom_site_label
_atom_site_type_symbol
_atom_site_fract_x
_atom_site_fract_y
_atom_site_fract_z
La1 La 0.000 0.000 0.172
Fe1 Fe 0.500 0.500 0.000
Fe2 Fe 0.500 0.500 0.319
O1 O 0.000 0.500 0.000
O2 O 0.000 0.500 0.313
O3 O 0.500 0.500 0.160
```